1.
The following is a simulated powder X-ray diffraction pattern of LiIn4BiO8. It was derived from a PBE-relaxed structure, using copper Kα.
Intensities are scaled so that the largest is 100.

The 10 most intense peaks (2θ = 15–90°), low angle first:
d_spacing, Rel. int., (hkl)
3.305, 20.4, 1 1 0
3.249, 80.8, 1 0 4
2.816, 100.0, 0 2 1
2.799, 62.3, 1 1 3
2.765, 42.0, 0 1 5
1.897, 34.3, 2 1 4
1.785, 26.9, 1 2 5
1.771, 21.7, 0 2 7
1.653, 36.4, 2 2 0
1.625, 32.6, 2 0 8

Cell and atoms:
Cell: 6.6105 6.6105 15.7850 Å, 90.00 90.00 120.00°
Space group R3m (No. 160, hexagonal axes)
One atom of each set of equivalent atoms:
Li1 0.0000 0.0000 0.0000 (multiplicity 3)
In1 0.0000 0.0000 0.6138 (multiplicity 3)
In2 0.0003 0.5001 0.4961 (multiplicity 9)
Bi1 0.0000 0.0000 0.3773 (multiplicity 3)
O1 0.0000 0.0000 0.2344 (multiplicity 3)
O2 0.0000 0.0000 0.7508 (multiplicity 3)
O3 0.0371 0.5185 0.7527 (multiplicity 9)
O4 0.1762 0.3524 0.5721 (multiplicity 9)

=====

2.
The following is a simulated powder X-ray diffraction pattern of Mn3Re. It was derived from a PBE-relaxed structure, using copper Kα.
Intensities are scaled so that the largest is 100.

The 10 most intense peaks (2θ = 15–90°), low angle first:
d_spacing, Rel. int., (hkl)
4.390, 35.9, 0 0 1
4.197, 40.1, 2 0 0
3.352, 23.9, 2 0 -1
2.483, 23.1, 1 1 0
2.113, 100.0, 1 1 1
2.108, 49.8, 2 0 -2
2.098, 48.8, 4 0 0
1.831, 63.8, 3 1 -1
1.815, 30.1, 2 0 2
1.291, 28.4, 6 0 -2

Cell and atoms:
Cell: 8.5349 2.5991 4.4642 Å, 90.00 100.44 90.00°
Space group C2/m (No. 12)
One atom of each set of equivalent atoms:
Mn1 0.0000 0.0000 0.0000 (multiplicity 2)
Mn2 0.2430 0.5000 0.2332 (multiplicity 4)
Re1 0.0000 0.5000 0.5000 (multiplicity 2)

=====

3.
The following is a simulated powder X-ray diffraction pattern of Np2Ag4S5. It was derived from a PBE-relaxed structure, using copper Kα.
Intensities are scaled so that the largest is 100.

The 10 most intense peaks (2θ = 15–90°), low angle first:
d_spacing, Rel. int., (hkl)
3.427, 44.2, 1 0 4
3.195, 52.1, 1 0 7
2.817, 100.0, 0 1 11
2.539, 19.8, 0 1 14
2.055, 47.8, 1 1 0
1.934, 20.6, 1 0 22
1.762, 18.9, 1 0 25
1.660, 44.4, 2 0 11
1.292, 13.6, 1 2 11
1.162, 16.8, 1 1 36

Cell and atoms:
Cell: 4.1108 4.1108 50.6918 Å, 90.00 90.00 120.00°
Space group R-3m (No. 166, hexagonal axes)
One atom of each set of equivalent atoms:
Np1 0.0000 0.0000 0.1356 (multiplicity 6)
Ag1 0.0000 0.0000 0.3081 (multiplicity 6)
Ag2 0.0000 0.0000 0.4169 (multiplicity 6)
S1 0.0000 0.0000 0.2251 (multiplicity 6)
S2 0.0000 0.0000 0.3686 (multiplicity 6)
S3 0.0000 0.0000 0.5000 (multiplicity 3)

=====

4.
The following is a simulated powder X-ray diffraction pattern of Sr3Ca12Tl. It was derived from a PBE-relaxed structure, using copper Kα.
Intensities are scaled so that the largest is 100.

The 10 most intense peaks (2θ = 15–90°), low angle first:
d_spacing, Rel. int., (hkl)
5.594, 18.1, 1 0 0
5.361, 9.1, 0 0 4
3.871, 15.5, 1 0 4
3.183, 100.0, 1 1 4
2.908, 9.0, 1 1 5
2.797, 39.1, 2 0 0
2.681, 11.5, 0 0 8
1.978, 13.7, 2 2 0
1.935, 16.7, 2 0 8
1.680, 28.6, 3 1 4

Cell and atoms:
Cell: 5.5939 5.5939 21.4455 Å, 90.00 90.00 90.00°
Space group P4/mmm (No. 123)
One atom of each set of equivalent atoms:
Sr1 0.0000 0.0000 0.0000 (multiplicity 1)
Sr2 0.0000 0.0000 0.2640 (multiplicity 2)
Ca1 0.0000 0.5000 0.1328 (multiplicity 4)
Ca2 0.0000 0.5000 0.3986 (multiplicity 4)
Ca3 0.5000 0.5000 0.0000 (multiplicity 1)
Ca4 0.5000 0.5000 0.2682 (multiplicity 2)
Ca5 0.5000 0.5000 0.5000 (multiplicity 1)
Tl1 0.0000 0.0000 0.5000 (multiplicity 1)

=====

5.
The following is a simulated powder X-ray diffraction pattern of LiPu2PaS6. It was derived from a PBE-relaxed structure, using copper Kα.
Intensities are scaled so that the largest is 100.

The 10 most intense peaks (2θ = 15–90°), low angle first:
d_spacing, Rel. int., (hkl)
4.499, 18.9, 1 0 1
3.662, 100.0, 1 1 1
3.151, 34.0, 2 0 0
2.829, 13.0, 2 0 1
2.606, 22.9, 1 1 2
2.249, 35.2, 2 0 2
2.228, 26.5, 2 2 0
1.930, 14.3, 1 1 3
1.903, 34.6, 3 1 1
1.693, 12.6, 3 1 2

Cell and atoms:
Cell: 6.3019 6.3019 6.4245 Å, 90.00 90.00 90.00°
Space group P4mm (No. 99)
One atom of each set of equivalent atoms:
Li1 0.0000 0.0000 0.0000 (multiplicity 1)
Pu1 0.0000 0.5000 0.4664 (multiplicity 2)
Pa1 0.5000 0.5000 0.0527 (multiplicity 1)
S1 0.0000 0.0000 0.6343 (multiplicity 1)
S2 0.2392 0.2392 0.2095 (multiplicity 4)
S3 0.5000 0.5000 0.6367 (multiplicity 1)

=====

6.
The following is a simulated powder X-ray diffraction pattern of Zr6RuN. It was derived from a PBE-relaxed structure, using copper Kα.
Intensities are scaled so that the largest is 100.

The 10 most intense peaks (2θ = 15–90°), low angle first:
d_spacing, Rel. int., (hkl)
2.691, 28.1, 1 1 -2
2.570, 59.2, 0 1 -2
2.544, 100.0, 2 0 -1
2.516, 66.6, 1 -2 0
2.499, 93.4, 1 1 1
2.478, 74.7, 1 2 -1
2.444, 92.9, -1 1 2
1.709, 25.3, 0 3 1
1.471, 30.1, 3 1 0
1.414, 24.3, 0 2 3

Cell and atoms:
Cell: 5.0917 5.7700 5.8757 Å, 97.78 113.39 90.77°
Space group P-1 (No. 2)
One atom of each set of equivalent atoms:
Zr1 0.0645 0.2857 0.1575 (multiplicity 2)
Zr2 0.2388 0.8260 0.4872 (multiplicity 2)
Zr3 0.3936 0.3657 0.7609 (multiplicity 2)
Ru1 0.5000 0.0000 0.0000 (multiplicity 1)
N1 0.0000 0.5000 0.5000 (multiplicity 1)